Structure and theoretical XRD peak list of Sn4PdAu3 (a cell relaxed with PBE; Cu Kα X-rays).

Main lines, low angle first (10° ≤ 2θ ≤ 80°):
2θ = 30.76°, I = 82, (2 0 -2)
2θ = 32.51°, I = 100, (1 2 1)
2θ = 34.31°, I = 17, (1 1 2)
2θ = 39.88°, I = 16, (0 3 1)
2θ = 40.00°, I = 14, (1 3 0)
2θ = 41.94°, I = 24, (2 0 2)
2θ = 44.92°, I = 45, (1 2 -3)
2θ = 45.80°, I = 34, (3 2 -1)
2θ = 46.02°, I = 13, (2 3 -1)
2θ = 52.11°, I = 15, (0 0 4)

Structure:
a = 7.1382 Å, b = 7.1639 Å, c = 7.3379 Å
α = 90.00°, β = 106.92°, γ = 90.00°
Atoms (fractional coordinates):
Sn 0.1910 0.1175 0.4674
Sn 0.1910 0.8825 0.9674
Sn 0.2891 0.3669 0.0336
Sn 0.2891 0.6331 0.5336
Sn 0.7109 0.3669 0.4664
Sn 0.7109 0.6331 0.9664
Sn 0.8090 0.1175 0.0326
Sn 0.8090 0.8825 0.5326
Pd 0.0000 0.1797 0.7500
Pd 0.0000 0.8203 0.2500
Au 0.0000 0.4242 0.2500
Au 0.0000 0.5758 0.7500
Au 0.5000 0.0689 0.2500
Au 0.5000 0.3308 0.7500
Au 0.5000 0.6692 0.2500
Au 0.5000 0.9311 0.7500